Diffraction record for PrNd2Er3Te2Pd. The XRD peak list is theoretical, not measured: it uses a PBE-relaxed structure and Cu Kα (λ = 1.5418 Å).
Kinematic intensities with the Lorentz-polarization factor, no thermal factor.

Atomic structure:
```
data_PrNd2Er3Te2Pd
_chemical_formula_sum 'Pr2 Nd4 Er6 Te4 Pd2'
_cell_length_a 4.0556
_cell_length_b 14.7267
_cell_length_c 8.4967
_cell_angle_alpha 90.00
_cell_angle_beta 90.00
_cell_angle_gamma 90.00
_space_group_name_H-M_alt 'A m m 2'
_space_group_IT_number 38
loop_
_space_group_symop_operation_xyz
'x,y,z'
'-x,-y,z'
'-x,y,z'
'x,-y,z'
'x,y+1/2,z+1/2'
'-x,-y+1/2,z+1/2'
'-x,y+1/2,z+1/2'
'x,-y+1/2,z+1/2'
loop_
_atom_site_label
_atom_site_type_symbol
_atom_site_fract_x
_atom_site_fract_y
_atom_site_fract_z
Pr1 Pr 0.0000 0.0000 0.0000
Nd1 Nd 0.0000 0.2026 0.6078
Er1 Er 0.5000 0.0000 0.6466
Er2 Er 0.5000 0.1207 0.2845
Te1 Te 0.5000 0.1668 0.9052
Pd1 Pd 0.0000 0.0000 0.4054
```

Principal peaks in the range 10° ≤ 2θ ≤ 90°, in order of rising 2θ:
hkl 1 3 1, 30.47°, 2.934 Å, rel. 100.0
hkl 0 5 1, 32.17°, 2.782 Å, rel. 74.6
hkl 1 2 2, 32.86°, 2.725 Å, rel. 85.5
hkl 0 3 3, 36.62°, 2.454 Å, rel. 34.7
hkl 1 5 1, 39.27°, 2.294 Å, rel. 42.2
hkl 2 0 0, 44.69°, 2.028 Å, rel. 24.0
hkl 1 7 1, 50.02°, 1.824 Å, rel. 17.5
hkl 2 5 1, 56.13°, 1.639 Å, rel. 30.9
hkl 2 3 3, 59.10°, 1.563 Å, rel. 17.2
hkl 1 8 2, 59.28°, 1.559 Å, rel. 35.4